Record 1
Calculated powder diffractogram
Compound: KBi3Pd3
Radiation: Cu Kα X-rays
Structure: a structure optimized by DFT (GGA-PBE)
Kinematic intensities with the Lorentz-polarization factor, no thermal factor.

Most intense lines, 2θ from 5° to 70°, in order of rising 2θ:
2theta, I_rel, h k l
10.7, 100, 0 0 3
23.0, 52, 1 1 0
25.5, 75, 2 -1 3
36.3, 28, 1 2 2
40.2, 56, 2 -1 9
40.5, 40, 3 0 0

Cell and atoms:
Unit cell a=7.7177 b=7.7177 c=24.8443 alpha=90.00 beta=90.00 gamma=120.00
Space group R-3 (No. 148, hexagonal axes)
Symmetry-distinct sites (fractional):
K1 0.0000 0.0000 0.1574
Bi1 0.0169 0.6236 0.0675
Pd1 0.0100 0.7245 0.9611

***

Record 2
Calculated powder diffractogram
Compound: HfP
Radiation: Cu Kα X-rays
Structure: a structure optimized by DFT (GGA-PBE)
Kinematic intensities with the Lorentz-polarization factor, no thermal factor.

Most intense lines, 2θ from 5° to 70°, in order of rising 2θ:
2theta, I_rel, h k l
28.1, 31, 1 0 0
28.7, 30, 0 0 4
29.0, 69, 1 0 1
35.6, 100, 1 0 3
40.6, 32, 1 0 4
49.8, 43, 1 1 0

Cell and atoms:
Unit cell a=3.6645 b=3.6645 c=12.4319 alpha=90.00 beta=90.00 gamma=120.00
Space group P6_3/mmc (No. 194)
Symmetry-distinct sites (fractional):
Hf1 0.3333 0.6667 0.1159
P1 0.0000 0.0000 0.0000
P2 0.3333 0.6667 0.7500

***

Record 3
Calculated powder diffractogram
Compound: La2P
Radiation: Cu Kα X-rays
Structure: a structure optimized by DFT (GGA-PBE)
Kinematic intensities with the Lorentz-polarization factor, no thermal factor.

Most intense lines, 2θ from 5° to 70°, in order of rising 2θ:
2theta, I_rel, h k l
25.3, 22, 0 0 2
28.1, 100, 1 0 1
35.9, 27, 1 0 2
44.1, 24, 1 1 0
46.4, 26, 0 1 3
51.5, 19, 1 1 2

Cell and atoms:
Unit cell a=4.1109 b=4.1109 c=7.0278 alpha=90.00 beta=90.00 gamma=120.00
Space group P-3m1 (No. 164)
Symmetry-distinct sites (fractional):
La1 0.3333 0.6667 0.2630
P1 0.0000 0.0000 0.5000

***

Record 4
Calculated powder diffractogram
Compound: Nd3Ga5SiO14
Radiation: Cu Kα X-rays
Structure: a structure optimized by DFT (GGA-PBE)
Kinematic intensities with the Lorentz-polarization factor, no thermal factor.

Most intense lines, 2θ from 5° to 70°, in order of rising 2θ:
2theta, I_rel, h k l
28.0, 100, 1 1 1
30.8, 96, 0 2 1
33.5, 36, 2 1 0
49.4, 38, 3 -2 2
49.8, 33, 1 3 1
59.8, 21, 5 -2 1

Cell and atoms:
Unit cell a=8.1704 b=8.1704 c=5.0979 alpha=90.00 beta=90.00 gamma=120.00
Space group P3 (No. 143)
Symmetry-distinct sites (fractional):
Nd1 0.0017 0.5826 0.0000
Ga1 0.0000 0.0000 0.9828
Ga2 0.2356 0.0012 0.4961
Ga3 0.3333 0.6667 0.5106
Si1 0.6667 0.3333 0.4362
O1 0.1044 0.8723 0.2022
O2 0.1180 0.4710 0.6644
O3 0.2151 0.1637 0.7284
O4 0.3333 0.6667 0.1509
O5 0.4661 0.1777 0.2917
O6 0.6667 0.3333 0.7555